1.
Theoretical X-ray diffraction stick pattern
Compound: K2SmF5
Radiation: a wavelength of 1.5418 Å
Structure: DFT lattice parameters and positions (GGA-PBE)
Lines closer than 0.1° are merged.

Structural model:
Lattice parameters (Å, degrees): 11.075 7.459 6.765 90.00 90.00 90.00
Positions (direct):
K (0.172, 0.003, 0.028)
K (0.172, 0.497, 0.028)
K (0.328, 0.503, 0.528)
K (0.328, 0.997, 0.528)
K (0.672, 0.003, 0.472)
K (0.672, 0.497, 0.472)
K (0.828, 0.503, 0.972)
K (0.828, 0.997, 0.972)
Sm (0.003, 0.250, 0.565)
Sm (0.497, 0.750, 0.065)
Sm (0.503, 0.250, 0.935)
Sm (0.997, 0.750, 0.435)
F (0.012, 0.250, 0.899)
F (0.079, 0.534, 0.646)
F (0.079, 0.966, 0.646)
F (0.168, 0.250, 0.366)
F (0.195, 0.750, 0.335)
F (0.305, 0.250, 0.835)
F (0.332, 0.750, 0.866)
F (0.421, 0.034, 0.146)
F (0.421, 0.466, 0.146)
F (0.488, 0.750, 0.399)
F (0.512, 0.250, 0.601)
F (0.579, 0.534, 0.854)
F (0.579, 0.966, 0.854)
F (0.668, 0.250, 0.134)
F (0.695, 0.750, 0.165)
F (0.805, 0.250, 0.665)
F (0.832, 0.750, 0.634)
F (0.921, 0.034, 0.354)
F (0.921, 0.466, 0.354)
F (0.988, 0.750, 0.101)

Most intense lines, 5° ≤ 2θ ≤ 70°, sorted by position:
d = 5.773 Å, rel. 100
d = 5.538 Å, rel. 49
d = 3.720 Å, rel. 33
d = 3.383 Å, rel. 29
d = 3.241 Å, rel. 64
d = 3.133 Å, rel. 80
d = 3.093 Å, rel. 50
d = 2.283 Å, rel. 39
d = 2.223 Å, rel. 29
d = 1.833 Å, rel. 31

2.
Theoretical X-ray diffraction stick pattern
Compound: NaCa2TiSi2O8F
Radiation: a wavelength of 1.5418 Å
Structure: DFT lattice parameters and positions (GGA-PBE)
Lines closer than 0.1° are merged.

Structural model:
Lattice parameters (Å, degrees): 5.804 7.632 19.444 78.70 89.68 89.95
Positions (direct):
Na (0.000, 0.000, 0.000)
Na (0.000, 0.494, 0.000)
Na (0.283, 0.503, 0.505)
Na (0.287, 0.979, 0.506)
Ca (0.077, 0.663, 0.670)
Ca (0.111, 0.164, 0.666)
Ca (0.199, 0.159, 0.173)
Ca (0.212, 0.663, 0.174)
Ca (0.482, 0.839, 0.323)
Ca (0.490, 0.338, 0.319)
Ca (0.795, 0.341, 0.819)
Ca (0.803, 0.836, 0.820)
Ti (0.425, 0.763, 0.968)
Ti (0.557, 0.236, 0.022)
Ti (0.762, 0.236, 0.513)
Ti (0.839, 0.765, 0.471)
Si (0.307, 0.094, 0.841)
Si (0.307, 0.555, 0.844)
Si (0.595, 0.949, 0.646)
Si (0.598, 0.399, 0.644)
Si (0.707, 0.904, 0.148)
Si (0.709, 0.441, 0.150)
Si (0.976, 0.096, 0.346)
Si (0.977, 0.562, 0.344)
O (0.061, 0.225, 0.542)
O (0.072, 0.602, 0.801)
O (0.082, 0.098, 0.792)
O (0.212, 0.089, 0.303)
O (0.214, 0.610, 0.301)
O (0.256, 0.225, 0.044)
O (0.269, 0.971, 0.918)
O (0.287, 0.587, 0.924)
O (0.291, 0.724, 0.053)
O (0.334, 0.890, 0.663)
O (0.340, 0.444, 0.663)
O (0.476, 0.399, 0.195)
O (0.479, 0.902, 0.195)
O (0.539, 0.773, 0.450)
O (0.555, 0.590, 0.809)
O (0.562, 0.095, 0.811)
O (0.617, 0.281, 0.432)
O (0.630, 0.406, 0.561)
O (0.632, 0.018, 0.562)
O (0.685, 0.017, 0.069)
O (0.692, 0.402, 0.071)
O (0.698, 0.278, 0.939)
O (0.724, 0.776, 0.947)
O (0.730, 0.595, 0.308)
O (0.731, 0.095, 0.310)
O (0.818, 0.887, 0.691)
O (0.824, 0.414, 0.690)
O (0.963, 0.717, 0.555)
O (0.964, 0.408, 0.180)
O (0.965, 0.909, 0.176)
O (0.989, 0.984, 0.426)
O (0.992, 0.600, 0.423)
F (0.022, 0.320, 0.363)
F (0.272, 0.312, 0.863)
F (0.563, 0.161, 0.671)
F (0.705, 0.682, 0.129)

Most intense lines, 5° ≤ 2θ ≤ 70°, sorted by position:
d = 5.552 Å, rel. 21
d = 3.178 Å, rel. 81
d = 3.150 Å, rel. 30
d = 3.144 Å, rel. 60
d = 3.024 Å, rel. 100
d = 2.849 Å, rel. 30
d = 2.654 Å, rel. 18
d = 2.646 Å, rel. 30
d = 2.634 Å, rel. 17
d = 1.908 Å, rel. 55

3.
Theoretical X-ray diffraction stick pattern
Compound: K2GaHgF6
Radiation: a wavelength of 1.5418 Å
Structure: DFT lattice parameters and positions (GGA-PBE)
Lines closer than 0.1° are merged.

Structural model:
Lattice parameters (Å, degrees): 6.310 6.310 6.310 60.00 60.00 60.00
Positions (direct):
K (0.250, 0.250, 0.250)
K (0.750, 0.750, 0.750)
Ga (0.000, 0.000, 0.000)
Hg (0.500, 0.500, 0.500)
F (0.216, 0.216, 0.784)
F (0.216, 0.784, 0.216)
F (0.216, 0.784, 0.784)
F (0.784, 0.216, 0.216)
F (0.784, 0.216, 0.784)
F (0.784, 0.784, 0.216)

Most intense lines, 5° ≤ 2θ ≤ 70°, sorted by position:
d = 5.152 Å, rel. 19
d = 4.462 Å, rel. 61
d = 3.155 Å, rel. 100
d = 2.690 Å, rel. 22
d = 2.231 Å, rel. 38
d = 2.047 Å, rel. 16
d = 1.995 Å, rel. 27
d = 1.821 Å, rel. 38
d = 1.577 Å, rel. 23
d = 1.411 Å, rel. 20

4.
Theoretical X-ray diffraction stick pattern
Compound: Ti2FeNiSb2
Radiation: a wavelength of 1.5418 Å
Structure: DFT lattice parameters and positions (GGA-PBE)
Lines closer than 0.1° are merged.

Structural model:
Lattice parameters (Å, degrees): 7.222 7.222 7.222 33.88 33.88 33.88
Positions (direct):
Ti (0.000, 0.000, 0.000)
Ti (0.493, 0.493, 0.493)
Fe (0.375, 0.375, 0.375)
Ni (0.871, 0.871, 0.871)
Sb (0.249, 0.249, 0.249)
Sb (0.745, 0.745, 0.745)

Most intense lines, 5° ≤ 2θ ≤ 70°, sorted by position:
d = 3.433 Å, rel. 68
d = 3.400 Å, rel. 23
d = 2.966 Å, rel. 57
d = 2.105 Å, rel. 100
d = 2.090 Å, rel. 96
d = 1.794 Å, rel. 11
d = 1.790 Å, rel. 22
d = 1.780 Å, rel. 10
d = 1.716 Å, rel. 11
d = 1.483 Å, rel. 30